# 1
Structure and theoretical XRD peak list of Na2InAgH (a crystal structure in Alexandria, relaxed with GGA-PBE; Cu Kα X-rays).
Peak positions follow from Bragg's law for the DFT cell and can differ from measured ones.

Top 8 peaks for 10° ≤ 2θ ≤ 90°, by angle:
two_theta	d_spacing	I (rel.)
18.37	4.831	46
27.85	3.203	35
33.57	2.670	100
37.23	2.415	19
39.80	2.265	32
44.16	2.051	19
55.63	1.652	23
68.30	1.373	23

Atomic structure:
Unit cell a=4.530 b=4.530 c=4.831 alpha=90.00 beta=90.00 gamma=90.00
Space group P4/mmm (No. 123)
Symmetry-distinct sites (fractional):
Na 0.000 0.500 0.000 x2
In 0.000 0.000 0.500 x1
Ag 0.500 0.500 0.500 x1
H 0.000 0.000 0.000 x1

---

# 2
Structure and theoretical XRD peak list of Sr2P2I (a crystal structure in Alexandria, relaxed with GGA-PBE; Cu Kα X-rays).
Peak positions follow from Bragg's law for the DFT cell and can differ from measured ones.

Top 8 peaks for 10° ≤ 2θ ≤ 90°, by angle:
two_theta	d_spacing	I (rel.)
21.14	4.203	51
23.43	3.796	26
25.30	3.520	37
29.61	3.017	78
31.16	2.871	41
33.47	2.677	100
42.25	2.139	27
42.76	2.115	21

Atomic structure:
Unit cell a=8.459 b=17.218 c=4.334 alpha=90.00 beta=90.00 gamma=90.00
Space group Imma (No. 74)
Symmetry-distinct sites (fractional):
Sr 0.250 0.097 0.250 x8
P 0.000 0.037 0.710 x8
I 0.000 0.250 0.096 x4

---

# 3
Structure and theoretical XRD peak list of Os8Se (a crystal structure in Alexandria, relaxed with GGA-PBE; Cu Kα X-rays).
Peak positions follow from Bragg's law for the DFT cell and can differ from measured ones.

Top 8 peaks for 10° ≤ 2θ ≤ 90°, by angle:
two_theta	d_spacing	I (rel.)
15.11	5.865	8
21.43	4.147	2
39.93	2.258	100
46.44	1.955	49
51.05	1.789	4
67.78	1.383	30
81.66	1.179	36
86.14	1.129	11

Atomic structure:
Unit cell a=8.294 b=8.294 c=3.912 alpha=90.00 beta=90.00 gamma=90.00
Space group I4/mmm (No. 139)
Symmetry-distinct sites (fractional):
Os 0.000 0.343 0.000 x8
Os 0.178 0.178 0.500 x8
Se 0.000 0.000 0.000 x2

---

# 4
Structure and theoretical XRD peak list of LiZnGeO (a crystal structure in Alexandria, relaxed with GGA-PBE; Cu Kα X-rays).
Peak positions follow from Bragg's law for the DFT cell and can differ from measured ones.

Top 8 peaks for 10° ≤ 2θ ≤ 90°, by angle:
two_theta	d_spacing	I (rel.)
19.47	4.558	85
23.00	3.867	30
29.89	2.989	100
35.15	2.553	31
39.16	2.300	54
43.04	2.101	44
44.26	2.046	20
48.52	1.876	32

Atomic structure:
Unit cell a=8.220 b=3.283 c=5.184 alpha=90.00 beta=118.45 gamma=90.00
Space group Cm (No. 8)
Symmetry-distinct sites (fractional):
Li 0.000 0.000 0.000 x2
Zn 0.415 0.000 0.428 x2
Ge 0.193 0.000 0.622 x2
O 0.380 0.000 0.016 x2